Calculated powder XRD pattern of VNi3AsO8 for Cu Kα (weighted mean of Kα1 and Kα2), from a cell relaxed with GGA+U.
Neutral-atom scattering factors, no anomalous dispersion.

Structure:
abc: 11.463 6.020 8.308
angles: 90.00 90.05 90.00
Space group C2/m (No. 12)
Symmetry-distinct sites (fractional):
V1 0.123 0.000 0.119 (multiplicity 4)
Ni1 0.000 0.000 0.500 (multiplicity 2)
Ni2 0.000 0.500 0.000 (multiplicity 2)
Ni3 0.132 0.251 0.747 (multiplicity 8)
As1 0.124 0.500 0.384 (multiplicity 4)
O1 0.002 0.500 0.249 (multiplicity 4)
O2 0.003 0.000 0.746 (multiplicity 4)
O3 0.119 0.235 0.998 (multiplicity 8)
O4 0.120 0.263 0.499 (multiplicity 8)
O5 0.248 0.500 0.267 (multiplicity 4)
O6 0.248 0.500 0.769 (multiplicity 4)

Peak list (6 most intense, 2θ from 10° to 90°, sorted by position)
2theta	I (rel.)	h k l
27.22	41	1 1 2
29.70	67	3 1 -1
35.37	100	2 2 1
36.02	55	2 0 -3
43.61	55	0 0 4
63.35	63	4 2 4

***

Calculated powder XRD pattern of Ca2MgWO6 for Cu Kα (weighted mean of Kα1 and Kα2), from a cell relaxed with GGA+U.
Neutral-atom scattering factors, no anomalous dispersion.

Structure:
abc: 5.475 5.637 9.531
angles: 90.00 124.88 90.00
Space group P2_1/c (No. 14)
Symmetry-distinct sites (fractional):
Ca1 0.235 0.051 0.248 (multiplicity 4)
Mg1 0.000 0.000 0.500 (multiplicity 2)
W1 0.500 0.000 0.000 (multiplicity 2)
O1 0.167 0.195 0.955 (multiplicity 4)
O2 0.257 0.715 0.948 (multiplicity 4)
O3 0.351 0.031 0.759 (multiplicity 4)

Peak list (6 most intense, 2θ from 10° to 90°, sorted by position)
2theta	I (rel.)	h k l
19.41	70	0 1 1
19.80	65	1 0 -2
22.64	41	1 1 -1
32.31	100	1 1 1
38.29	32	1 0 -4
46.23	30	2 2 -2

***

Calculated powder XRD pattern of Cr2Cu3O12F12 for Cu Kα (weighted mean of Kα1 and Kα2), from a cell relaxed with GGA+U.
Neutral-atom scattering factors, no anomalous dispersion.

Structure:
abc: 7.514 7.694 7.753
angles: 99.36 98.83 96.44
Space group P-1 (No. 2)
Symmetry-distinct sites (fractional):
Cr1 0.000 0.000 0.000 (multiplicity 1)
Cr2 0.500 0.500 0.500 (multiplicity 1)
Cu1 0.000 0.000 0.500 (multiplicity 1)
Cu2 0.000 0.500 0.000 (multiplicity 1)
Cu3 0.500 0.000 0.000 (multiplicity 1)
O1 0.093 0.498 0.782 (multiplicity 2)
O2 0.161 0.837 0.435 (multiplicity 2)
O3 0.210 0.450 0.898 (multiplicity 2)
O4 0.249 0.996 0.469 (multiplicity 2)
O5 0.454 0.759 0.025 (multiplicity 2)
O6 0.493 0.141 0.821 (multiplicity 2)
F1 0.086 0.793 0.060 (multiplicity 2)
F2 0.086 0.960 0.782 (multiplicity 2)
F3 0.224 0.126 0.100 (multiplicity 2)
F4 0.275 0.393 0.502 (multiplicity 2)
F5 0.424 0.533 0.276 (multiplicity 2)
F6 0.443 0.715 0.588 (multiplicity 2)

Peak list (6 most intense, 2θ from 10° to 90°, sorted by position)
2theta	I (rel.)	h k l
11.76	23	0 0 1
19.06	26	1 1 -1
19.59	56	1 -1 1
23.65	100	0 0 2
23.83	30	1 1 1
24.21	36	2 0 0

***

Calculated powder XRD pattern of NaNi2H3S2O10 for Cu Kα (weighted mean of Kα1 and Kα2), from a cell relaxed with GGA+U.
Neutral-atom scattering factors, no anomalous dispersion.

Structure:
abc: 8.681 6.272 7.409
angles: 90.00 115.32 90.00
Space group Cm (No. 8)
Symmetry-distinct sites (fractional):
Na1 0.000 0.000 0.000 (multiplicity 2)
Ni1 0.251 0.251 0.500 (multiplicity 4)
H1 0.008 0.000 0.506 (multiplicity 2)
H2 0.197 0.000 0.735 (multiplicity 2)
H3 0.310 0.500 0.271 (multiplicity 2)
S1 0.093 0.500 0.793 (multiplicity 2)
S2 0.408 0.000 0.207 (multiplicity 2)
O1 0.016 0.304 0.252 (multiplicity 4)
O2 0.156 0.000 0.588 (multiplicity 2)
O3 0.189 0.500 0.660 (multiplicity 2)
O4 0.221 0.500 0.000 (multiplicity 2)
O5 0.279 0.000 0.000 (multiplicity 2)
O6 0.311 0.000 0.339 (multiplicity 2)
O7 0.349 0.500 0.417 (multiplicity 2)
O8 0.486 0.196 0.748 (multiplicity 4)

Peak list (6 most intense, 2θ from 10° to 90°, sorted by position)
2theta	I (rel.)	h k l
13.22	100	0 0 1
26.60	79	2 0 -2
27.97	46	1 1 -2
30.95	66	2 0 1
31.50	56	0 2 1
35.50	73	2 2 -1

***

Calculated powder XRD pattern of V3CoO8 for Cu Kα (weighted mean of Kα1 and Kα2), from a cell relaxed with GGA+U.
Neutral-atom scattering factors, no anomalous dispersion.

Structure:
abc: 12.276 3.756 6.563
angles: 90.00 107.13 90.00
Space group Cm (No. 8)
Symmetry-distinct sites (fractional):
V1 0.000 0.000 0.000 (multiplicity 2)
V2 0.102 0.000 0.577 (multiplicity 2)
V3 0.299 0.500 0.556 (multiplicity 2)
Co1 0.201 0.500 0.977 (multiplicity 2)
O1 0.024 0.500 0.993 (multiplicity 2)
O2 0.039 0.000 0.290 (multiplicity 2)
O3 0.142 0.000 0.901 (multiplicity 2)
O4 0.144 0.500 0.620 (multiplicity 2)
O5 0.263 0.500 0.291 (multiplicity 2)
O6 0.265 0.000 0.591 (multiplicity 2)
O7 0.353 0.500 0.925 (multiplicity 2)
O8 0.450 0.500 0.633 (multiplicity 2)

Peak list (6 most intense, 2θ from 10° to 90°, sorted by position)
2theta	I (rel.)	h k l
14.12	46	0 0 1
15.10	42	2 0 0
24.89	100	1 1 0
28.46	60	0 0 2
29.58	45	4 0 -1
48.47	37	0 2 0

***

Calculated powder XRD pattern of TlWO3 for Cu Kα (weighted mean of Kα1 and Kα2), from a cell relaxed with GGA+U.
Neutral-atom scattering factors, no anomalous dispersion.

Structure:
abc: 4.077 4.077 4.077
angles: 90.00 90.00 90.00
Space group Pm-3m (No. 221)
Symmetry-distinct sites (fractional):
Tl1 0.000 0.000 0.000 (multiplicity 1)
W1 0.500 0.500 0.500 (multiplicity 1)
O1 0.000 0.500 0.500 (multiplicity 3)

Peak list (6 most intense, 2θ from 10° to 90°, sorted by position)
2theta	I (rel.)	h k l
31.02	100	1 1 0
44.44	26	2 0 0
55.18	41	2 1 1
64.66	17	2 2 0
73.44	18	3 1 0
81.84	6	2 2 2

***

Calculated powder XRD pattern of Fe3OF5 for Cu Kα (weighted mean of Kα1 and Kα2), from a cell relaxed with GGA+U.
Neutral-atom scattering factors, no anomalous dispersion.

Structure:
abc: 4.849 5.829 7.931
angles: 86.23 88.80 88.96
Space group P-1 (No. 2)
Symmetry-distinct sites (fractional):
Fe1 0.000 0.000 0.000 (multiplicity 1)
Fe2 0.019 0.654 0.325 (multiplicity 2)
Fe3 0.475 0.190 0.333 (multiplicity 2)
Fe4 0.500 0.500 0.000 (multiplicity 1)
O1 0.317 0.463 0.218 (multiplicity 2)
F1 0.201 0.972 0.236 (multiplicity 2)
F2 0.202 0.641 0.568 (multiplicity 2)
F3 0.209 0.294 0.901 (multiplicity 2)
F4 0.301 0.798 0.900 (multiplicity 2)
F5 0.303 0.129 0.568 (multiplicity 2)

Peak list (6 most intense, 2θ from 10° to 90°, sorted by position)
2theta	I (rel.)	h k l
25.67	100	1 1 1
26.36	100	-1 1 1
33.52	28	0 2 -1
33.63	28	1 -1 2
50.63	33	2 2 -1
51.06	31	2 -2 1